CaMg14VO16: simulated XRD peak list (λ = 1.5418 Å (Cu Kα)), based on a structure optimized by DFT (GGA+U).

The 10 most intense peaks (2θ from 15° to 90°), in order of rising 2θ:
(0 1 2), d = 3.864 Å, 2θ 23.02, I 3; (1 2 2), d = 2.492 Å, 2θ 36.04, I 22; (2 0 0), d = 2.163 Å, 2θ 41.76, I 100; (0 4 0), d = 2.149 Å, 2θ 42.04, I 49; (2 0 4), d = 1.529 Å, 2θ 60.54, I 28; (2 4 0), d = 1.524 Å, 2θ 60.76, I 55; (3 2 2), d = 1.304 Å, 2θ 72.46, I 4; (1 2 6), d = 1.303 Å, 2θ 72.58, I 4; (1 6 2), d = 1.297 Å, 2θ 72.91, I 4; (2 4 4), d = 1.246 Å, 2θ 76.44, I 25

Cell and atoms:
```
data_CaMg14VO16
_chemical_formula_sum 'Ca1 Mg14 V1 O16'
_cell_length_a 4.330
_cell_length_b 8.596
_cell_length_c 8.643
_cell_angle_alpha 90.00
_cell_angle_beta 90.00
_cell_angle_gamma 90.00
_space_group_name_H-M_alt 'P m m m'
_space_group_IT_number 47
loop_
_space_group_symop_operation_xyz
'x,y,z'
'-x,-y,-z'
'-x,-y,z'
'x,y,-z'
'x,-y,-z'
'-x,y,z'
'-x,y,-z'
'x,-y,z'
loop_
_atom_site_label
_atom_site_fract_x
_atom_site_fract_y
_atom_site_fract_z
Ca1 0.000 0.000 0.000
Mg1 0.000 0.254 0.252
Mg2 0.000 0.500 0.000
Mg3 0.000 0.500 0.500
Mg4 0.500 0.000 0.254
Mg5 0.500 0.251 0.500
Mg6 0.500 0.256 0.000
Mg7 0.500 0.500 0.251
V1 0.000 0.000 0.500
O1 0.000 0.000 0.257
O2 0.000 0.257 0.500
O3 0.000 0.264 0.000
O4 0.000 0.500 0.252
O5 0.500 0.000 0.000
O6 0.500 0.000 0.500
O7 0.500 0.250 0.250
O8 0.500 0.500 0.000
O9 0.500 0.500 0.500
```